[1]
This entry pairs a crystal structure of CdAg2SnTe3S with its calculated powder XRD pattern. Radiation: Cu Ka. Structure: a crystal structure in OQMD, relaxed with PBE.

Structure:
Unit cell a=6.3692 b=6.3692 c=7.6988 alpha=113.54 beta=113.54 gamma=91.06
Sites, in units of the cell vectors:
Cd  0.0000  0.0000  0.0000
Ag  0.3024  0.7531  0.5384
Ag  0.7531  0.3024  0.5384
Sn  0.5287  0.5287  0.0084
Te  0.1422  0.1422  0.7415
Te  0.4000  0.8962  0.2738
Te  0.8962  0.4000  0.2738
S  0.6417  0.6417  0.7760

Main lines, in order of rising 2θ (2θ from 10° to 90°):
2θ 24.1, rel. 100
2θ 24.3, rel. 53
2θ 24.5, rel. 54
2θ 39.7, rel. 26
2θ 40.0, rel. 53
2θ 40.4, rel. 76
2θ 47.0, rel. 16
2θ 47.2, rel. 16
2θ 47.5, rel. 40
2θ 57.9, rel. 16

---

[2]
This entry pairs a crystal structure of Nb3GeCN with its calculated powder XRD pattern. Radiation: Cu Ka. Structure: a crystal structure in OQMD, relaxed with PBE.

Structure:
Unit cell a=3.1653 b=3.1653 c=18.3724 alpha=90.00 beta=90.00 gamma=120.00
Sites, in units of the cell vectors:
Nb  0.0000  0.0000  0.0000
Nb  0.0000  0.0000  0.5000
Nb  0.3333  0.6667  0.1349
Nb  0.3333  0.6667  0.3625
Nb  0.6667  0.3333  0.6375
Nb  0.6667  0.3333  0.8651
Ge  0.0000  0.0000  0.2484
Ge  0.0000  0.0000  0.7516
C  0.3333  0.6667  0.5718
C  0.6667  0.3333  0.4282
N  0.3333  0.6667  0.9309
N  0.6667  0.3333  0.0691

Main lines, in order of rising 2θ (2θ from 10° to 90°):
2θ 33.0, rel. 29
2θ 35.9, rel. 8
2θ 38.2, rel. 100
2θ 39.2, rel. 21
2θ 41.1, rel. 32
2θ 56.2, rel. 14
2θ 58.3, rel. 29
2θ 70.4, rel. 13
2θ 71.9, rel. 16
2θ 72.5, rel. 21

---

[3]
This entry pairs a crystal structure of Er3AsBrCl2 with its calculated powder XRD pattern. Radiation: Cu Ka. Structure: a crystal structure in OQMD, relaxed with PBE.

Structure:
Unit cell a=5.6338 b=5.6338 c=5.5343 alpha=90.00 beta=90.00 gamma=90.00
Sites, in units of the cell vectors:
Er  0.0000  0.0000  0.0000
Er  0.0000  0.5000  0.5000
Er  0.5000  0.0000  0.5000
As  0.0000  0.0000  0.5000
Br  0.5000  0.5000  0.5000
Cl  0.0000  0.5000  0.0000
Cl  0.5000  0.0000  0.0000

Main lines, in order of rising 2θ (2θ from 10° to 90°):
2θ 15.7, rel. 26
2θ 16.0, rel. 31
2θ 22.5, rel. 26
2θ 27.6, rel. 37
2θ 31.8, rel. 100
2θ 32.4, rel. 48
2θ 45.5, rel. 36
2θ 46.0, rel. 71
2θ 57.0, rel. 37
2θ 84.5, rel. 24

---

[4]
This entry pairs a crystal structure of La18In3Co28 with its calculated powder XRD pattern. Radiation: Cu Ka. Structure: a crystal structure in OQMD, relaxed with PBE.

Structure:
Unit cell a=11.1687 b=11.1687 c=11.1687 alpha=100.63 beta=100.63 gamma=129.13
Sites, in units of the cell vectors:
La  0.0000  0.2362  0.2362
La  0.0000  0.5000  0.5000
La  0.0000  0.7638  0.7638
La  0.0956  0.0956  0.6694
La  0.0956  0.4262  0.0000
La  0.2362  0.0000  0.2362
La  0.2515  0.5000  0.7515
La  0.4262  0.0956  0.0000
La  0.4262  0.4262  0.3306
La  0.5000  0.0000  0.5000
La  0.5000  0.2515  0.7515
La  0.5000  0.7485  0.2485
La  0.5738  0.5738  0.6694
La  0.5738  0.9044  0.0000
La  0.7485  0.5000  0.2485
La  0.7638  0.0000  0.7638
La  0.9044  0.5738  0.0000
La  0.9044  0.9044  0.3306
In  0.1627  0.1627  0.0000
In  0.5000  0.5000  0.0000
In  0.8373  0.8373  0.0000
Co  0.0207  0.2260  0.4963
Co  0.0207  0.5244  0.7947
Co  0.1219  0.7497  0.3722
Co  0.2260  0.0207  0.4963
Co  0.2260  0.7297  0.2053
Co  0.2442  0.2442  0.4884
Co  0.2442  0.7558  0.0000
Co  0.2503  0.6225  0.3722
Co  0.2503  0.8781  0.6278
Co  0.2703  0.4756  0.4963
Co  0.2703  0.7740  0.7947
Co  0.3775  0.7497  0.6278
Co  0.4756  0.2703  0.4963
Co  0.4756  0.9793  0.2053
Co  0.5244  0.0207  0.7947
Co  0.5244  0.7297  0.5037
Co  0.6225  0.2503  0.3722
Co  0.7297  0.2260  0.2053
Co  0.7297  0.5244  0.5037
Co  0.7497  0.1219  0.3722
Co  0.7497  0.3775  0.6278
Co  0.7558  0.2442  0.0000
Co  0.7558  0.7558  0.5116
Co  0.7740  0.2703  0.7947
Co  0.7740  0.9793  0.5037
Co  0.8781  0.2503  0.6278
Co  0.9793  0.4756  0.2053
Co  0.9793  0.7740  0.5037

Main lines, in order of rising 2θ (2θ from 10° to 90°):
2θ 25.6, rel. 20
2θ 31.3, rel. 100
2θ 32.5, rel. 63
2θ 35.6, rel. 42
2θ 37.8, rel. 38
2θ 40.4, rel. 31
2θ 42.7, rel. 34
2θ 45.6, rel. 24
2θ 46.5, rel. 22
2θ 63.0, rel. 21

---

[5]
This entry pairs a crystal structure of Gd2Tm3Hg3 with its calculated powder XRD pattern. Radiation: Cu Ka. Structure: a crystal structure in OQMD, relaxed with PBE.

Structure:
Unit cell a=5.5659 b=6.4659 c=6.4659 alpha=68.46 beta=90.00 gamma=90.00
Sites, in units of the cell vectors:
Gd  0.0000  0.0000  0.0000
Gd  0.5000  0.3632  0.3632
Tm  0.0000  0.5014  0.9890
Tm  0.0000  0.9890  0.5014
Tm  0.5000  0.8086  0.8086
Hg  0.0000  0.5012  0.5012
Hg  0.5000  0.3018  0.8786
Hg  0.5000  0.8786  0.3018

Main lines, in order of rising 2θ (2θ from 10° to 90°):
2θ 29.7, rel. 28
2θ 32.2, rel. 44
2θ 33.9, rel. 100
2θ 37.3, rel. 44
2θ 44.3, rel. 19
2θ 57.6, rel. 12
2θ 58.4, rel. 21
2θ 60.8, rel. 22
2θ 64.2, rel. 14
2θ 67.5, rel. 15

---

[6]
This entry pairs a crystal structure of BaCd2N2 with its calculated powder XRD pattern. Radiation: Cu Ka. Structure: a crystal structure in OQMD, relaxed with PBE.

Structure:
Unit cell a=3.9185 b=3.9185 c=6.8760 alpha=90.00 beta=90.00 gamma=120.00
Sites, in units of the cell vectors:
Ba  0.0000  0.0000  0.0000
Cd  0.3333  0.6667  0.6329
Cd  0.6667  0.3333  0.3671
N  0.3333  0.6667  0.2623
N  0.6667  0.3333  0.7377

Main lines, in order of rising 2θ (2θ from 10° to 90°):
2θ 29.3, rel. 100
2θ 37.2, rel. 55
2θ 39.3, rel. 13
2θ 46.3, rel. 35
2θ 55.8, rel. 16
2θ 60.4, rel. 12
2θ 60.9, rel. 12
2θ 62.3, rel. 20
2θ 75.4, rel. 13
2θ 79.8, rel. 11

---

[7]
This entry pairs a crystal structure of PmBAs with its calculated powder XRD pattern. Radiation: Cu Ka. Structure: a crystal structure in OQMD, relaxed with PBE.

Structure:
Unit cell a=4.3751 b=4.3751 c=4.3751 alpha=60.00 beta=60.00 gamma=60.00
Sites, in units of the cell vectors:
Pm  0.0000  0.0000  0.0000
B  0.7500  0.7500  0.7500
As  0.5000  0.5000  0.5000

Main lines, in order of rising 2θ (2θ from 10° to 90°):
2θ 24.9, rel. 20
2θ 28.9, rel. 100
2θ 41.3, rel. 88
2θ 48.8, rel. 10
2θ 51.1, rel. 28
2θ 59.8, rel. 15
2θ 65.8, rel. 4
2θ 67.7, rel. 35
2θ 75.2, rel. 29
2θ 89.6, rel. 10

---

[8]
This entry pairs a crystal structure of NdBe4 with its calculated powder XRD pattern. Radiation: Cu Ka. Structure: a crystal structure in OQMD, relaxed with PBE.

Structure:
Unit cell a=3.1315 b=3.1315 c=13.8166 alpha=90.00 beta=90.00 gamma=90.00
Sites, in units of the cell vectors:
Nd  0.2500  0.2500  0.1952
Nd  0.7500  0.7500  0.8048
Be  0.2500  0.2500  0.4983
Be  0.2500  0.7500  0.0000
Be  0.2500  0.7500  0.3878
Be  0.2500  0.7500  0.6122
Be  0.7500  0.2500  0.0000
Be  0.7500  0.2500  0.3878
Be  0.7500  0.2500  0.6122
Be  0.7500  0.7500  0.5017

Main lines, in order of rising 2θ (2θ from 10° to 90°):
2θ 12.8, rel. 79
2θ 19.3, rel. 51
2θ 29.2, rel. 100
2θ 31.4, rel. 38
2θ 32.4, rel. 25
2θ 38.8, rel. 51
2θ 42.9, rel. 25
2θ 45.4, rel. 32
2θ 49.1, rel. 21
2θ 68.9, rel. 21

---

Question: What is the formula in the fifth record?
Answer: Gd2Tm3Hg3